For Tm2ThOs2, a cell relaxed with GGA-PBE gives the simulated PXRD pattern in this record (copper Kα).
No peak broadening, texture or thermal motion is included.

Unit cell a=5.5081 b=4.3982 c=10.3604 alpha=90.00 beta=93.91 gamma=90.00
Fractional positions:
Tm 0.1005 0.2500 0.3775
Tm 0.2424 0.2500 0.0326
Tm 0.7576 0.7500 0.9674
Tm 0.8995 0.7500 0.6225
Th 0.3832 0.2500 0.7067
Th 0.6168 0.7500 0.2933
Os 0.2484 0.7500 0.8555
Os 0.3518 0.7500 0.5117
Os 0.6482 0.2500 0.4883
Os 0.7516 0.2500 0.1445

Main lines, by intensity (2θ from 10° to 90°):
2θ (°), d (Å), Rel. int.
36.1, 2.486, 100.0
37.8, 2.382, 72.2
41.0, 2.199, 70.1
33.0, 2.712, 69.8
41.6, 2.172, 69.0
27.7, 3.218, 51.5
34.3, 2.612, 48.2
18.8, 4.721, 40.2

For SmMnN, a cell relaxed with GGA-PBE gives the simulated PXRD pattern in this record (copper Kα).
No peak broadening, texture or thermal motion is included.

Unit cell a=8.4000 b=8.4000 c=3.3762 alpha=90.00 beta=90.00 gamma=157.08
Fractional positions:
Sm 0.1035 0.8965 0.7500
Sm 0.8965 0.1035 0.2500
Mn 0.2495 0.7505 0.2500
Mn 0.7505 0.2495 0.7500
N 0.3160 0.6840 0.7500
N 0.6840 0.3160 0.2500

Main lines, by intensity (2θ from 10° to 90°):
2θ (°), d (Å), Rel. int.
41.4, 2.179, 100.0
28.6, 3.124, 66.6
27.3, 3.272, 54.5
38.4, 2.345, 50.9
32.6, 2.744, 31.5
55.0, 1.670, 22.3
21.6, 4.116, 19.4
34.4, 2.610, 19.3

For Cs2Mg2I5, a cell relaxed with GGA-PBE gives the simulated PXRD pattern in this record (copper Kα).
No peak broadening, texture or thermal motion is included.

Unit cell a=8.8377 b=8.8377 c=9.1935 alpha=108.15 beta=108.15 gamma=40.84
Fractional positions:
Cs 0.1007 0.1007 0.3081
Cs 0.8993 0.8993 0.6919
Mg 0.3438 0.3438 0.1057
Mg 0.6562 0.6562 0.8943
I 0.1572 0.1572 0.9254
I 0.3508 0.3508 0.4171
I 0.5000 0.5000 0.0000
I 0.6492 0.6492 0.5829
I 0.8428 0.8428 0.0746

Main lines, by intensity (2θ from 10° to 90°):
2θ (°), d (Å), Rel. int.
24.2, 3.682, 100.0
26.9, 3.311, 88.3
29.0, 3.084, 59.2
21.6, 4.109, 36.7
22.8, 3.906, 31.3
36.6, 2.458, 23.5
47.3, 1.922, 22.4
50.1, 1.820, 22.1

For U2Tc, a cell relaxed with GGA-PBE gives the simulated PXRD pattern in this record (copper Kα).
No peak broadening, texture or thermal motion is included.

Unit cell a=7.7188 b=7.7188 c=4.8814 alpha=90.00 beta=90.00 gamma=157.25
Fractional positions:
U 0.0000 0.0000 0.0000
U 0.1682 0.8318 0.5000
U 0.5000 0.5000 0.5000
U 0.8318 0.1682 0.5000
Tc 0.3241 0.6759 0.0000
Tc 0.6759 0.3241 0.0000

Main lines, by intensity (2θ from 10° to 90°):
2θ (°), d (Å), Rel. int.
39.2, 2.300, 100.0
35.6, 2.522, 31.9
36.8, 2.441, 29.8
52.1, 1.754, 21.8
66.3, 1.409, 21.1
67.9, 1.380, 20.7
84.2, 1.150, 11.9
89.9, 1.092, 10.3